Record 1
This entry pairs a crystal structure of SmHf2Ga2 with its theoretical powder XRD pattern. Radiation: Cu Kα (λ = 1.5418 Å). Structure: a structure optimized by DFT (GGA-PBE).
Lines closer than 0.1° are merged.

The 6 most intense peaks (10° ≤ 2θ ≤ 90°), low angle first:
| d (Å) | intensity | (hkl) |
| --- | --- | --- |
| 3.102 | 17.8 | 0 0 2 |
| 2.693 | 100.0 | 1 1 1 |
| 2.501 | 19.5 | 1 0 2 |
| 2.152 | 18.1 | 1 1 2 |
| 2.114 | 35.2 | 2 0 0 |
| 1.307 | 21.3 | 3 1 1 |

Atomic structure:
```
data_SmHf2Ga2
_chemical_formula_sum 'Sm1 Hf2 Ga2'
_space_group_name_H-M_alt 'P 4/m m m'
_space_group_IT_number 123
_space_group_name_Hall '-P 4 2'
_cell_length_a 4.2279
_cell_length_b 4.2279
_cell_length_c 6.2034
_cell_angle_alpha 90.00
_cell_angle_beta 90.00
_cell_angle_gamma 90.00
loop_
_atom_site_label
_atom_site_type_symbol
_atom_site_fract_x
_atom_site_fract_y
_atom_site_fract_z
Sm1 Sm 0.0000 0.0000 0.0000
Hf1 Hf 0.0000 0.5000 0.5000
Ga1 Ga 0.5000 0.5000 0.1993
```

Record 2
This entry pairs a crystal structure of Tb5Zr3Ni16As12 with its theoretical powder XRD pattern. Radiation: Cu Kα (λ = 1.5418 Å). Structure: a structure optimized by DFT (GGA-PBE).
Lines closer than 0.1° are merged.

The 6 most intense peaks (10° ≤ 2θ ≤ 90°), low angle first:
| d (Å) | intensity | (hkl) |
| --- | --- | --- |
| 2.684 | 28.4 | 3 0 1 |
| 2.474 | 100.0 | 2 2 1 |
| 2.413 | 84.8 | 3 1 1 |
| 1.962 | 37.9 | 0 0 2 |
| 1.840 | 32.1 | 6 0 0 |
| 1.342 | 21.4 | 6 0 2 |

Atomic structure:
```
data_Tb5Zr3Ni16As12
_chemical_formula_sum 'Tb5 Zr3 Ni16 As12'
_space_group_name_H-M_alt 'P -6 2 m'
_space_group_IT_number 189
_space_group_name_Hall 'P -6 -2'
_cell_length_a 12.7466
_cell_length_b 12.7466
_cell_length_c 3.9250
_cell_angle_alpha 90.00
_cell_angle_beta 90.00
_cell_angle_gamma 120.00
loop_
_atom_site_label
_atom_site_type_symbol
_atom_site_fract_x
_atom_site_fract_y
_atom_site_fract_z
Tb1 Tb 0.0000 0.1851 0.0000
Tb2 Tb 0.3333 0.6667 0.5000
Zr1 Zr 0.0000 0.5652 0.5000
Ni1 Ni 0.0000 0.0000 0.5000
Ni2 Ni 0.0000 0.7245 0.0000
Ni3 Ni 0.1205 0.4835 0.0000
Ni4 Ni 0.1846 0.8074 0.5000
As1 As 0.0000 0.3573 0.5000
As2 As 0.0000 0.8216 0.5000
As3 As 0.1728 0.6942 0.0000
```

Record 3
This entry pairs a crystal structure of SmSbN2O with its theoretical powder XRD pattern. Radiation: Cu Kα (λ = 1.5418 Å). Structure: a structure optimized by DFT (GGA-PBE).
Lines closer than 0.1° are merged.

The 6 most intense peaks (10° ≤ 2θ ≤ 90°), low angle first:
| d (Å) | intensity | (hkl) |
| --- | --- | --- |
| 2.868 | 21.9 | 2 0 0 |
| 2.855 | 100.0 | 1 2 1 |
| 2.791 | 23.7 | 0 0 2 |
| 2.037 | 13.3 | 0 4 0 |
| 2.000 | 18.8 | 2 0 2 |
| 1.624 | 20.6 | 1 2 3 |

Atomic structure:
```
data_SmSbN2O
_chemical_formula_sum 'Sm4 Sb4 N8 O4'
_space_group_name_H-M_alt 'P n m a'
_space_group_IT_number 62
_space_group_name_Hall '-P 2ac 2n'
_cell_length_a 5.7355
_cell_length_b 8.1494
_cell_length_c 5.5830
_cell_angle_alpha 90.00
_cell_angle_beta 90.00
_cell_angle_gamma 90.00
loop_
_atom_site_label
_atom_site_type_symbol
_atom_site_fract_x
_atom_site_fract_y
_atom_site_fract_z
Sm1 Sm 0.0558 0.2500 0.0216
Sb1 Sb 0.0000 0.0000 0.5000
N1 N 0.2033 0.5552 0.7982
O1 O 0.0296 0.7500 0.3937
```